Entry 1:
Structure and computed powder X-ray diffraction pattern of Tl2SeO4 (a cell relaxed with GGA-PBE; Cu Kα (λ = 1.5418 Å)).

Crystal structure
```
Tl2SeO4
1.0
8.149 0.000 0.000
0.000 5.990 0.000
0.000 0.000 11.682
Tl Se O
8 4 16
direct
0.024 0.250 0.223
0.183 0.750 0.418
0.317 0.250 0.918
0.476 0.750 0.723
0.524 0.250 0.277
0.683 0.750 0.082
0.817 0.250 0.582
0.976 0.750 0.777
0.212 0.750 0.071
0.288 0.250 0.571
0.712 0.750 0.429
0.788 0.250 0.929
0.018 0.750 0.117
0.193 0.017 0.618
0.193 0.483 0.618
0.225 0.750 0.926
0.275 0.250 0.426
0.307 0.517 0.118
0.307 0.983 0.118
0.482 0.250 0.617
0.518 0.750 0.383
0.693 0.017 0.882
0.693 0.483 0.882
0.725 0.750 0.574
0.775 0.250 0.074
0.807 0.517 0.382
0.807 0.983 0.382
0.982 0.250 0.883
```

Principal peaks in the range 2θ = 10–90°, in order of falling intensity:
2θ 27.3, rel. 100
2θ 27.6, rel. 68
2θ 26.7, rel. 48
2θ 29.8, rel. 45
2θ 40.4, rel. 33
2θ 30.6, rel. 18
2θ 51.4, rel. 17
2θ 47.1, rel. 16
2θ 47.3, rel. 16
2θ 59.8, rel. 16
2θ 50.6, rel. 15
2θ 23.9, rel. 15

---

Entry 2:
Structure and computed powder X-ray diffraction pattern of U2Se2O (a cell relaxed with GGA-PBE; Cu Kα (λ = 1.5418 Å)).

Crystal structure
```
U2Se2O
1.0
2.941 0.000 0.000
0.000 2.941 0.000
0.000 0.000 13.163
U Se O
2 2 1
direct
0.000 0.000 0.157
0.000 0.000 0.843
0.000 0.000 0.366
0.000 0.000 0.634
0.000 0.000 0.000
```

Principal peaks in the range 2θ = 10–90°, in order of falling intensity:
2θ 30.4, rel. 100
2θ 41.2, rel. 60
2θ 52.0, rel. 52
2θ 43.5, rel. 38
2θ 27.1, rel. 35
2θ 20.2, rel. 28
2θ 36.8, rel. 27
2θ 13.5, rel. 26
2θ 78.3, rel. 24
2θ 71.8, rel. 20
2θ 61.4, rel. 17
2θ 48.4, rel. 15

---

Entry 3:
Structure and computed powder X-ray diffraction pattern of U7Se12O2 (a cell relaxed with GGA-PBE; Cu Kα (λ = 1.5418 Å)).

Crystal structure
```
U7Se12O2
1.0
11.356 0.000 0.000
-5.678 9.834 0.000
0.000 0.000 4.118
U Se O
7 12 2
direct
0.000 0.000 0.000
0.171 0.717 0.500
0.283 0.454 0.500
0.449 0.175 0.000
0.546 0.829 0.500
0.726 0.551 0.000
0.825 0.274 0.000
0.016 0.755 0.000
0.118 0.496 0.000
0.218 0.013 0.500
0.245 0.261 0.000
0.378 0.882 0.000
0.504 0.622 0.000
0.512 0.394 0.500
0.606 0.118 0.500
0.739 0.984 0.000
0.795 0.782 0.500
0.882 0.488 0.500
0.987 0.205 0.500
0.333 0.667 0.500
0.667 0.333 0.000
```

Principal peaks in the range 2θ = 10–90°, in order of falling intensity:
2θ 32.4, rel. 100
2θ 23.9, rel. 99
2θ 35.0, rel. 87
2θ 42.1, rel. 65
2θ 39.6, rel. 53
2θ 23.4, rel. 51
2θ 38.5, rel. 46
2θ 62.5, rel. 41
2θ 63.2, rel. 38
2θ 44.0, rel. 37
2θ 50.7, rel. 29
2θ 28.3, rel. 20

---

Entry 4:
Structure and computed powder X-ray diffraction pattern of USeO5 (a cell relaxed with GGA-PBE; Cu Kα (λ = 1.5418 Å)).

Crystal structure
```
USeO5
1.0
4.277 0.000 0.000
0.000 9.556 0.000
-0.912 0.000 5.763
U Se O
2 2 10
direct
0.000 0.000 0.000
0.000 0.500 0.000
0.364 0.250 0.709
0.636 0.750 0.291
0.006 0.750 0.203
0.054 0.087 0.276
0.054 0.413 0.276
0.489 0.106 0.883
0.489 0.394 0.883
0.511 0.606 0.117
0.511 0.894 0.117
0.946 0.587 0.724
0.946 0.913 0.724
0.994 0.250 0.797
```

Principal peaks in the range 2θ = 10–90°, in order of falling intensity:
2θ 15.4, rel. 100
2θ 24.2, rel. 79
2θ 28.2, rel. 65
2θ 30.6, rel. 50
2θ 36.4, rel. 41
2θ 21.0, rel. 32
2θ 28.1, rel. 31
2θ 18.6, rel. 28
2θ 47.6, rel. 24
2θ 18.0, rel. 23
2θ 43.2, rel. 18
2θ 24.1, rel. 18

---

Entry 5:
Structure and computed powder X-ray diffraction pattern of Y2Se3O12 (a cell relaxed with GGA-PBE; Cu Kα (λ = 1.5418 Å)).

Crystal structure
```
Y2Se3O12
1.0
3.563 -5.834 0.000
3.563 5.834 0.000
-3.514 0.000 10.776
Y Se O
4 6 24
direct
0.050 0.299 0.094
0.299 0.050 0.594
0.701 0.950 0.406
0.950 0.701 0.906
0.132 0.868 0.250
0.213 0.452 0.422
0.452 0.213 0.922
0.548 0.787 0.078
0.787 0.548 0.578
0.868 0.132 0.750
0.001 0.415 0.789
0.045 0.941 0.123
0.059 0.955 0.377
0.071 0.681 0.609
0.257 0.656 0.044
0.268 0.377 0.289
0.309 0.377 0.541
0.319 0.929 0.891
0.344 0.743 0.456
0.377 0.268 0.789
0.377 0.309 0.041
0.415 0.001 0.289
0.585 0.999 0.711
0.623 0.691 0.959
0.623 0.732 0.211
0.656 0.257 0.544
0.681 0.071 0.109
0.691 0.623 0.459
0.732 0.623 0.711
0.743 0.344 0.956
0.929 0.319 0.391
0.941 0.045 0.623
0.955 0.059 0.877
0.999 0.585 0.211
```

Principal peaks in the range 2θ = 10–90°, in order of falling intensity:
2θ 29.2, rel. 100
2θ 29.4, rel. 97
2θ 60.0, rel. 30
2θ 47.5, rel. 30
2θ 30.6, rel. 30
2θ 47.6, rel. 29
2θ 17.3, rel. 22
2θ 15.1, rel. 21
2θ 53.7, rel. 17
2θ 53.6, rel. 16
2θ 35.4, rel. 15
2θ 75.2, rel. 15

---

Entry 6:
Structure and computed powder X-ray diffraction pattern of Y2SeO2 (a cell relaxed with GGA-PBE; Cu Kα (λ = 1.5418 Å)).

Crystal structure
```
Y2SeO2
1.0
3.852 0.000 0.000
0.000 3.852 0.000
0.000 0.000 12.185
Y Se O
4 2 4
direct
0.000 0.000 0.157
0.000 0.000 0.843
0.500 0.500 0.343
0.500 0.500 0.657
0.000 0.000 0.500
0.500 0.500 0.000
0.000 0.500 0.250
0.000 0.500 0.750
0.500 0.000 0.250
0.500 0.000 0.750
```

Principal peaks in the range 2θ = 10–90°, in order of falling intensity:
2θ 32.0, rel. 100
2θ 32.9, rel. 36
2θ 58.2, rel. 36
2θ 56.5, rel. 22
2θ 47.2, rel. 21
2θ 44.6, rel. 10
2θ 67.0, rel. 8
2θ 78.0, rel. 8
2θ 74.3, rel. 7
2θ 68.9, rel. 6
2θ 78.5, rel. 6
2θ 85.9, rel. 5

---

Entry 7:
Structure and computed powder X-ray diffraction pattern of Y2Se3O20 (a cell relaxed with GGA-PBE; Cu Kα (λ = 1.5418 Å)).

Crystal structure
```
Y2Se3O20
1.0
6.287 -3.492 0.000
6.287 3.492 0.000
-3.427 0.000 19.497
Y Se O
4 6 40
direct
0.145 0.176 0.394
0.176 0.145 0.894
0.824 0.855 0.106
0.855 0.824 0.606
0.179 0.233 0.084
0.233 0.179 0.584
0.278 0.722 0.750
0.722 0.278 0.250
0.767 0.821 0.416
0.821 0.767 0.916
0.037 0.756 0.715
0.079 0.214 0.004
0.082 0.452 0.587
0.083 0.147 0.138
0.107 0.490 0.113
0.147 0.083 0.638
0.184 0.811 0.142
0.189 0.816 0.358
0.202 0.772 0.581
0.214 0.079 0.504
0.228 0.798 0.919
0.244 0.963 0.785
0.272 0.344 0.818
0.320 0.378 0.425
0.344 0.272 0.318
0.378 0.320 0.925
0.390 0.549 0.814
0.451 0.610 0.686
0.452 0.082 0.087
0.490 0.107 0.613
0.510 0.893 0.387
0.548 0.918 0.913
0.549 0.390 0.314
0.610 0.451 0.186
0.622 0.680 0.075
0.656 0.728 0.682
0.680 0.622 0.575
0.728 0.656 0.182
0.756 0.037 0.215
0.772 0.202 0.081
0.786 0.921 0.496
0.798 0.228 0.419
0.811 0.184 0.642
0.816 0.189 0.858
0.853 0.917 0.362
0.893 0.510 0.887
0.917 0.853 0.862
0.918 0.548 0.413
0.921 0.786 0.996
0.963 0.244 0.285
```

Principal peaks in the range 2θ = 10–90°, in order of falling intensity:
2θ 15.6, rel. 100
2θ 25.1, rel. 73
2θ 18.2, rel. 69
2θ 14.6, rel. 49
2θ 29.4, rel. 47
2θ 27.4, rel. 33
2θ 24.4, rel. 31
2θ 38.1, rel. 27
2θ 25.4, rel. 27
2θ 31.5, rel. 25
2θ 38.8, rel. 25
2θ 43.9, rel. 25

---

Entry 8:
Structure and computed powder X-ray diffraction pattern of YSeO3 (a cell relaxed with GGA-PBE; Cu Kα (λ = 1.5418 Å)).

Crystal structure
```
YSeO3
1.0
6.037 0.000 0.000
0.000 12.494 0.000
-2.492 0.000 8.520
Y Se O
8 8 24
direct
0.136 0.241 0.143
0.136 0.259 0.643
0.261 0.559 0.088
0.261 0.941 0.588
0.739 0.059 0.412
0.739 0.441 0.912
0.864 0.741 0.357
0.864 0.759 0.857
0.126 0.515 0.676
0.126 0.985 0.176
0.456 0.660 0.498
0.456 0.840 0.998
0.544 0.160 0.002
0.544 0.340 0.502
0.874 0.015 0.824
0.874 0.485 0.324
0.052 0.592 0.283
0.052 0.908 0.783
0.092 0.095 0.580
0.092 0.405 0.080
0.251 0.744 0.001
0.251 0.756 0.501
0.287 0.229 0.913
0.287 0.271 0.413
0.365 0.519 0.852
0.365 0.981 0.352
0.485 0.671 0.310
0.485 0.829 0.810
0.515 0.171 0.190
0.515 0.329 0.690
0.635 0.019 0.648
0.635 0.481 0.148
0.713 0.729 0.587
0.713 0.771 0.087
0.749 0.244 0.499
0.749 0.256 0.999
0.908 0.595 0.920
0.908 0.905 0.420
0.948 0.092 0.217
0.948 0.408 0.717
```

Principal peaks in the range 2θ = 10–90°, in order of falling intensity:
2θ 31.8, rel. 100
2θ 29.3, rel. 91
2θ 26.4, rel. 86
2θ 26.7, rel. 61
2θ 30.5, rel. 51
2θ 30.0, rel. 51
2θ 23.3, rel. 43
2θ 23.8, rel. 42
2θ 51.9, rel. 30
2θ 32.6, rel. 28
2θ 54.3, rel. 28
2θ 32.1, rel. 22